Starting from a crystal structure in Alexandria, relaxed with PBE, the X-ray powder pattern of KSnGe2Br8 was simulated for Cu Kα.
Peak positions follow from Bragg's law for the DFT cell and can differ from measured ones.

Principal peaks in the range 2θ from 10° to 80°, in order of rising 2θ:
2θ/deg	I_rel
15.34	269
15.44	269
16.94	434
18.71	350
24.58	316
27.18	1000
27.32	464
34.26	255
35.21	251
37.94	344
39.71	226
44.55	188

Atomic structure:
a = 7.047 Å, b = 7.123 Å, c = 9.129 Å
α = 85.56°, β = 85.55°, γ = 84.04°
Atoms (fractional coordinates):
K (0.000, 0.000, 0.000)
Sn (0.000, 0.000, 0.500)
Ge (0.447, 0.450, 0.250)
Ge (0.553, 0.550, 0.750)
Br (0.219, 0.795, 0.715)
Br (0.220, 0.795, 0.284)
Br (0.268, 0.288, 0.472)
Br (0.306, 0.326, 0.041)
Br (0.694, 0.674, 0.959)
Br (0.732, 0.712, 0.528)
Br (0.780, 0.205, 0.716)
Br (0.781, 0.205, 0.285)



Starting from a crystal structure in Alexandria, relaxed with PBE, the X-ray powder pattern of BaNa9Sr4 was simulated for Cu Kα.
Peak positions follow from Bragg's law for the DFT cell and can differ from measured ones.

Principal peaks in the range 2θ from 10° to 80°, in order of rising 2θ:
2θ/deg	I_rel
16.79	337
20.19	480
22.57	638
22.82	295
23.45	319
24.99	549
25.58	1000
30.10	675
30.44	451
33.74	322
42.37	260
48.44	259

Atomic structure:
a = 12.168 Å, b = 12.168 Å, c = 12.168 Å
α = 118.52°, β = 118.52°, γ = 92.58°
Atoms (fractional coordinates):
Ba (0.250, 0.250, 0.000)
Ba (0.750, 0.750, 0.000)
Na (0.000, 0.500, 0.500)
Na (0.045, 0.803, 0.849)
Na (0.068, 0.568, 0.297)
Na (0.197, 0.045, 0.242)
Na (0.229, 0.932, 0.500)
Na (0.271, 0.771, 0.703)
Na (0.303, 0.545, 0.849)
Na (0.432, 0.729, 0.500)
Na (0.455, 0.303, 0.758)
Na (0.500, 0.000, 0.500)
Na (0.545, 0.697, 0.242)
Na (0.568, 0.271, 0.500)
Na (0.697, 0.455, 0.151)
Na (0.729, 0.229, 0.297)
Na (0.771, 0.068, 0.500)
Na (0.803, 0.955, 0.758)
Na (0.932, 0.432, 0.703)
Na (0.955, 0.197, 0.151)
Sr (0.062, 0.175, 0.500)
Sr (0.175, 0.675, 0.113)
Sr (0.325, 0.438, 0.500)
Sr (0.438, 0.938, 0.113)
Sr (0.562, 0.062, 0.887)
Sr (0.675, 0.562, 0.500)
Sr (0.825, 0.325, 0.887)
Sr (0.938, 0.825, 0.500)



Starting from a crystal structure in Alexandria, relaxed with PBE, the X-ray powder pattern of Tb4Ge8Pt was simulated for Cu Kα.
Peak positions follow from Bragg's law for the DFT cell and can differ from measured ones.

Principal peaks in the range 2θ from 10° to 80°, in order of rising 2θ:
2θ/deg	I_rel
31.55	139
34.69	260
35.15	1000
39.55	173
43.93	221
45.11	204
49.43	111
58.13	119
60.57	99
64.80	145
75.05	104
76.75	102

Atomic structure:
a = 4.020 Å, b = 4.122 Å, c = 16.599 Å
α = 90.00°, β = 90.00°, γ = 90.00°
Atoms (fractional coordinates):
Tb (0.000, 0.000, 0.000)
Tb (0.000, 0.500, 0.485)
Tb (0.500, 0.000, 0.789)
Tb (0.500, 0.500, 0.281)
Ge (0.000, 0.000, 0.328)
Ge (0.000, 0.000, 0.620)
Ge (0.000, 0.500, 0.138)
Ge (0.000, 0.500, 0.858)
Ge (0.500, 0.000, 0.143)
Ge (0.500, 0.000, 0.428)
Ge (0.500, 0.500, 0.618)
Ge (0.500, 0.500, 0.955)
Pt (0.000, 0.500, 0.711)



Starting from a crystal structure in Alexandria, relaxed with PBE, the X-ray powder pattern of Na2Mg3In4 was simulated for Cu Kα.
Peak positions follow from Bragg's law for the DFT cell and can differ from measured ones.

Principal peaks in the range 2θ from 10° to 80°, in order of rising 2θ:
2θ/deg	I_rel
14.47	637
18.19	435
22.27	468
22.86	830
30.19	327
31.52	528
34.05	301
35.47	1000
35.92	471
36.71	818
40.91	523
61.55	399

Atomic structure:
a = 9.670 Å, b = 9.670 Å, c = 8.251 Å
α = 90.00°, β = 90.00°, γ = 141.30°
Atoms (fractional coordinates):
Na (0.091, 0.909, 0.888)
Na (0.409, 0.591, 0.388)
Na (0.591, 0.409, 0.612)
Na (0.909, 0.091, 0.112)
Mg (0.000, 0.000, 0.500)
Mg (0.006, 0.494, 0.750)
Mg (0.494, 0.006, 0.250)
Mg (0.500, 0.500, 0.000)
Mg (0.506, 0.994, 0.750)
Mg (0.994, 0.506, 0.250)
In (0.167, 0.833, 0.514)
In (0.175, 0.325, 0.750)
In (0.325, 0.175, 0.250)
In (0.333, 0.667, 0.014)
In (0.667, 0.333, 0.986)
In (0.675, 0.825, 0.750)
In (0.825, 0.675, 0.250)
In (0.833, 0.167, 0.486)



Starting from a crystal structure in Alexandria, relaxed with PBE, the X-ray powder pattern of K6HgAuO was simulated for Cu Kα.
Peak positions follow from Bragg's law for the DFT cell and can differ from measured ones.

Principal peaks in the range 2θ from 10° to 80°, in order of rising 2θ:
2θ/deg	I_rel
12.46	482
17.31	335
20.77	1000
21.39	386
27.16	225
27.39	641
32.39	489
32.73	246
35.04	188
35.65	272
40.20	231
42.27	199

Atomic structure:
a = 10.077 Å, b = 10.077 Å, c = 10.077 Å
α = 120.67°, β = 118.90°, γ = 90.38°
Atoms (fractional coordinates):
K (0.079, 0.312, 0.140)
K (0.079, 0.938, 0.767)
K (0.319, 0.069, 0.250)
K (0.329, 0.062, 0.640)
K (0.329, 0.688, 0.267)
K (0.337, 0.587, 0.750)
K (0.663, 0.413, 0.250)
K (0.671, 0.312, 0.733)
K (0.671, 0.938, 0.360)
K (0.681, 0.931, 0.750)
K (0.921, 0.062, 0.233)
K (0.921, 0.688, 0.860)
Hg (0.064, 0.314, 0.750)
Hg (0.936, 0.686, 0.250)
Au (0.500, 0.000, 0.000)
Au (0.500, 0.500, 0.500)
O (0.000, 0.000, 0.000)
O (0.500, 0.000, 0.500)



Starting from a crystal structure in Alexandria, relaxed with PBE, the X-ray powder pattern of Ag6SnAu3 was simulated for Cu Kα.
Peak positions follow from Bragg's law for the DFT cell and can differ from measured ones.

Principal peaks in the range 2θ from 10° to 80°, in order of rising 2θ:
2θ/deg	I_rel
18.80	330
34.70	899
35.51	834
37.16	675
37.73	1000
38.13	327
38.91	808
40.39	295
40.74	706
42.33	476
43.27	478
69.59	504

Atomic structure:
a = 9.358 Å, b = 9.358 Å, c = 5.686 Å
α = 90.00°, β = 90.00°, γ = 129.56°
Atoms (fractional coordinates):
Ag (0.016, 0.984, 0.500)
Ag (0.089, 0.528, 0.943)
Ag (0.260, 0.356, 0.730)
Ag (0.315, 0.685, 0.525)
Ag (0.356, 0.260, 0.230)
Ag (0.472, 0.911, 0.943)
Ag (0.528, 0.089, 0.443)
Ag (0.644, 0.740, 0.730)
Ag (0.685, 0.315, 0.025)
Ag (0.740, 0.644, 0.230)
Ag (0.911, 0.472, 0.443)
Ag (0.984, 0.016, 0.000)
Sn (0.163, 0.837, 0.237)
Sn (0.837, 0.163, 0.737)
Au (0.062, 0.301, 0.308)
Au (0.301, 0.062, 0.808)
Au (0.411, 0.589, 0.122)
Au (0.589, 0.411, 0.622)
Au (0.699, 0.938, 0.308)
Au (0.938, 0.699, 0.808)



Starting from a crystal structure in Alexandria, relaxed with PBE, the X-ray powder pattern of PmAs3O9 was simulated for Cu Kα.
Peak positions follow from Bragg's law for the DFT cell and can differ from measured ones.

Principal peaks in the range 2θ from 10° to 80°, in order of rising 2θ:
2θ/deg	I_rel
15.09	357
23.30	1000
24.82	802
24.96	342
27.60	451
33.02	436
34.30	386
34.41	239
43.68	214
47.52	231
50.85	211
52.56	167

Atomic structure:
a = 7.391 Å, b = 7.391 Å, c = 7.635 Å
α = 90.00°, β = 90.00°, γ = 105.14°
Atoms (fractional coordinates):
Pm (0.117, 0.117, 0.000)
Pm (0.883, 0.883, 0.500)
As (0.251, 0.251, 0.500)
As (0.299, 0.655, 0.959)
As (0.345, 0.701, 0.541)
As (0.655, 0.299, 0.041)
As (0.701, 0.345, 0.459)
As (0.749, 0.749, 0.000)
O (0.119, 0.166, 0.678)
O (0.166, 0.119, 0.322)
O (0.178, 0.813, 0.541)
O (0.187, 0.822, 0.959)
O (0.192, 0.445, 0.040)
O (0.252, 0.481, 0.433)
O (0.388, 0.612, 0.750)
O (0.445, 0.192, 0.960)
O (0.481, 0.252, 0.567)
O (0.519, 0.748, 0.067)
O (0.555, 0.808, 0.460)
O (0.612, 0.388, 0.250)
O (0.748, 0.519, 0.933)
O (0.808, 0.555, 0.540)
O (0.813, 0.178, 0.459)
O (0.822, 0.187, 0.041)
O (0.834, 0.881, 0.822)
O (0.881, 0.834, 0.178)



Starting from a crystal structure in Alexandria, relaxed with PBE, the X-ray powder pattern of YHoCS was simulated for Cu Kα.
Peak positions follow from Bragg's law for the DFT cell and can differ from measured ones.

Principal peaks in the range 2θ from 10° to 80°, in order of rising 2θ:
2θ/deg	I_rel
13.96	201
28.14	350
29.33	742
33.65	1000
36.60	186
47.56	283
49.10	363
57.55	206
58.22	144
60.83	244
70.74	168
79.53	167

Atomic structure:
a = 3.711 Å, b = 3.711 Å, c = 19.029 Å
α = 90.00°, β = 90.00°, γ = 120.00°
Atoms (fractional coordinates):
Y (0.000, 0.000, 0.000)
Y (0.333, 0.667, 0.667)
Y (0.667, 0.333, 0.333)
Ho (0.000, 0.000, 0.526)
Ho (0.333, 0.667, 0.192)
Ho (0.667, 0.333, 0.859)
C (0.000, 0.000, 0.262)
C (0.333, 0.667, 0.929)
C (0.667, 0.333, 0.595)
S (0.000, 0.000, 0.763)
S (0.333, 0.667, 0.430)
S (0.667, 0.333, 0.097)



Starting from a crystal structure in Alexandria, relaxed with PBE, the X-ray powder pattern of Sm2Dy6Er3Zr was simulated for Cu Kα.
Peak positions follow from Bragg's law for the DFT cell and can differ from measured ones.

Principal peaks in the range 2θ from 10° to 80°, in order of rising 2θ:
2θ/deg	I_rel
31.19	1000
36.17	505
52.08	356
61.89	141
62.00	280
65.05	121
76.63	19
76.82	38

Atomic structure:
a = 6.082 Å, b = 6.082 Å, c = 11.639 Å
α = 94.96°, β = 94.96°, γ = 119.91°
Atoms (fractional coordinates):
Sm (0.167, 0.833, 0.000)
Sm (0.833, 0.167, 0.000)
Dy (0.091, 0.417, 0.752)
Dy (0.256, 0.256, 0.247)
Dy (0.417, 0.091, 0.752)
Dy (0.583, 0.909, 0.248)
Dy (0.744, 0.744, 0.753)
Dy (0.909, 0.583, 0.248)
Er (0.000, 0.000, 0.500)
Er (0.334, 0.666, 0.500)
Er (0.666, 0.334, 0.500)
Zr (0.500, 0.500, 0.000)



Starting from a crystal structure in Alexandria, relaxed with PBE, the X-ray powder pattern of Y3Tm7Mg was simulated for Cu Kα.
Peak positions follow from Bragg's law for the DFT cell and can differ from measured ones.

Principal peaks in the range 2θ from 10° to 80°, in order of rising 2θ:
2θ/deg	I_rel
10.40	267
18.13	118
25.74	91
31.57	320
31.70	1000
36.73	692
52.83	230
53.01	224
62.86	147
63.05	403
66.23	123
78.12	72

Atomic structure:
a = 6.910 Å, b = 6.910 Å, c = 8.502 Å
α = 90.00°, β = 90.00°, γ = 120.00°
Atoms (fractional coordinates):
Y (0.168, 0.336, 0.000)
Y (0.168, 0.832, 0.000)
Y (0.664, 0.832, 0.000)
Tm (0.006, 0.503, 0.341)
Tm (0.333, 0.166, 0.664)
Tm (0.333, 0.667, 0.668)
Tm (0.497, 0.503, 0.341)
Tm (0.497, 0.994, 0.341)
Tm (0.834, 0.166, 0.664)
Tm (0.834, 0.667, 0.664)
Mg (0.000, 0.000, 0.340)



Starting from a crystal structure in Alexandria, relaxed with PBE, the X-ray powder pattern of TbIn2GaI6 was simulated for Cu Kα.
Peak positions follow from Bragg's law for the DFT cell and can differ from measured ones.

Principal peaks in the range 2θ from 10° to 80°, in order of rising 2θ:
2θ/deg	I_rel
14.55	338
20.26	176
24.31	1000
25.63	122
29.33	408
32.41	744
32.57	140
36.35	178
36.78	460
42.91	231
44.76	132
57.31	150

Atomic structure:
a = 8.778 Å, b = 8.778 Å, c = 8.778 Å
α = 57.66°, β = 57.66°, γ = 57.66°
Atoms (fractional coordinates):
Tb (0.000, 0.000, 0.000)
In (0.308, 0.308, 0.308)
In (0.800, 0.800, 0.800)
Ga (0.506, 0.506, 0.506)
I (0.133, 0.344, 0.751)
I (0.219, 0.877, 0.646)
I (0.344, 0.751, 0.133)
I (0.646, 0.219, 0.877)
I (0.751, 0.133, 0.344)
I (0.877, 0.646, 0.219)



Starting from a crystal structure in Alexandria, relaxed with PBE, the X-ray powder pattern of RbIn2Pb was simulated for Cu Kα.
Peak positions follow from Bragg's law for the DFT cell and can differ from measured ones.

Principal peaks in the range 2θ from 10° to 80°, in order of rising 2θ:
2θ/deg	I_rel
10.23	501
30.30	1000
31.35	568
33.06	139
38.39	245
44.92	210
47.74	79
53.17	105
55.15	368
60.54	129
73.77	78
74.33	94

Atomic structure:
a = 4.036 Å, b = 4.036 Å, c = 8.643 Å
α = 90.00°, β = 90.00°, γ = 90.00°
Atoms (fractional coordinates):
Rb (0.000, 0.000, 0.000)
In (0.500, 0.500, 0.305)
In (0.500, 0.500, 0.695)
Pb (0.000, 0.000, 0.500)